For Sc2Ge4Mo3, a cell relaxed with GGA-PBE gives the theoretical PXRD pattern in this record (copper Kα).

Unit cell a=6.733 b=12.920 c=6.927 alpha=90.00 beta=90.00 gamma=90.00
Element x y z (fractional)
1 Sc 0.013 0.090 0.173
2 Sc 0.013 0.410 0.173
3 Sc 0.487 0.590 0.673
4 Sc 0.487 0.910 0.673
5 Sc 0.513 0.090 0.327
6 Sc 0.513 0.410 0.327
7 Sc 0.987 0.590 0.827
8 Sc 0.987 0.910 0.827
9 Ge 0.033 0.250 0.878
10 Ge 0.177 0.045 0.540
11 Ge 0.177 0.455 0.540
12 Ge 0.189 0.750 0.652
13 Ge 0.311 0.250 0.152
14 Ge 0.323 0.545 0.040
15 Ge 0.323 0.955 0.040
16 Ge 0.467 0.750 0.378
17 Ge 0.533 0.250 0.622
18 Ge 0.677 0.045 0.960
19 Ge 0.677 0.455 0.960
20 Ge 0.689 0.750 0.848
21 Ge 0.811 0.250 0.348
22 Ge 0.823 0.545 0.460
23 Ge 0.823 0.955 0.460
24 Ge 0.967 0.750 0.122
25 Mo 0.167 0.250 0.502
26 Mo 0.167 0.625 0.341
27 Mo 0.167 0.875 0.341
28 Mo 0.333 0.125 0.841
29 Mo 0.333 0.375 0.841
30 Mo 0.333 0.750 0.002
31 Mo 0.667 0.250 0.998
32 Mo 0.667 0.625 0.159
33 Mo 0.667 0.875 0.159
34 Mo 0.833 0.125 0.659
35 Mo 0.833 0.375 0.659
36 Mo 0.833 0.750 0.498

Main lines, by angle (10° ≤ 2θ ≤ 90°):
index  d_spacing  2θ/deg  intensity
1 3 2  2.505  35.8  82
2 3 1  2.477  36.3  70
2 1 2  2.373  37.9  33
1 5 1  2.278  39.6  52
1 4 2  2.229  40.5  46
2 4 1  2.209  40.9  44
0 6 0  2.153  42.0  100
3 0 1  2.135  42.3  84